No. 1
Starting from a GGA-PBE-relaxed structure, the powder XRD pattern of K2LaCuCl6 was simulated for Cu Kα (λ = 1.5418 Å).

Main lines, by intensity (10° ≤ 2θ ≤ 80°):
2theta, I (rel.)
33.8, 100
23.7, 93
16.7, 90
48.6, 65
37.9, 44
41.7, 41
51.7, 22
65.9, 21
60.5, 21
54.7, 19

Crystal structure
```
data_K2LaCuCl6
_chemical_formula_sum 'K2 La1 Cu1 Cl6'
_cell_length_a 7.498
_cell_length_b 7.498
_cell_length_c 7.498
_cell_angle_alpha 60.00
_cell_angle_beta 60.00
_cell_angle_gamma 60.00
_space_group_name_H-M_alt 'P 1'
_space_group_IT_number 1
loop_
_space_group_symop_operation_xyz
'x,y,z'
loop_
_atom_site_label
_atom_site_type_symbol
_atom_site_fract_x
_atom_site_fract_y
_atom_site_fract_z
_atom_site_occupancy
K1 K 0.250 0.250 0.250 1
K2 K 0.750 0.750 0.750 1
La1 La 0.000 0.000 0.000 1
Cu1 Cu 0.500 0.500 0.500 1
Cl1 Cl 0.261 0.261 0.739 1
Cl2 Cl 0.261 0.739 0.261 1
Cl3 Cl 0.261 0.739 0.739 1
Cl4 Cl 0.739 0.261 0.261 1
Cl5 Cl 0.739 0.261 0.739 1
Cl6 Cl 0.739 0.739 0.261 1
```

No. 2
Starting from a GGA-PBE-relaxed structure, the powder XRD pattern of Ca2ThSi8O20 was simulated for Cu Kα (λ = 1.5418 Å).

Main lines, by intensity (10° ≤ 2θ ≤ 80°):
2theta, I (rel.)
21.2, 100
13.1, 83
26.4, 80
27.1, 78
33.5, 69
11.7, 50
47.0, 28
31.9, 28
50.1, 24
41.4, 22

Crystal structure
```
data_Ca2ThSi8O20
_chemical_formula_sum 'Ca2 Th1 Si8 O20'
_cell_length_a 9.266
_cell_length_b 9.266
_cell_length_c 9.266
_cell_angle_alpha 131.95
_cell_angle_beta 131.95
_cell_angle_gamma 70.32
_space_group_name_H-M_alt 'P 1'
_space_group_IT_number 1
loop_
_space_group_symop_operation_xyz
'x,y,z'
loop_
_atom_site_label
_atom_site_type_symbol
_atom_site_fract_x
_atom_site_fract_y
_atom_site_fract_z
_atom_site_occupancy
Ca1 Ca 0.000 0.500 0.500 1
Ca2 Ca 0.500 0.000 0.500 1
Th1 Th 0.000 0.000 0.000 1
Si1 Si 0.106 0.521 0.922 1
Si2 Si 0.184 0.106 0.584 1
Si3 Si 0.400 0.479 0.584 1
Si4 Si 0.479 0.894 0.078 1
Si5 Si 0.521 0.600 0.416 1
Si6 Si 0.600 0.184 0.078 1
Si7 Si 0.816 0.400 0.922 1
Si8 Si 0.894 0.816 0.416 1
O1 O 0.026 0.664 0.851 1
O2 O 0.044 0.956 0.500 1
O3 O 0.127 0.326 0.706 1
O4 O 0.175 0.026 0.362 1
O5 O 0.187 0.336 0.362 1
O6 O 0.326 0.620 0.199 1
O7 O 0.336 0.974 0.149 1
O8 O 0.380 0.674 0.801 1
O9 O 0.421 0.127 0.801 1
O10 O 0.456 0.544 0.500 1
O11 O 0.544 0.044 0.088 1
O12 O 0.579 0.380 0.706 1
O13 O 0.620 0.421 0.294 1
O14 O 0.664 0.813 0.638 1
O15 O 0.674 0.873 0.294 1
O16 O 0.813 0.175 0.149 1
O17 O 0.825 0.187 0.851 1
O18 O 0.873 0.579 0.199 1
O19 O 0.956 0.456 0.912 1
O20 O 0.974 0.825 0.638 1
```

No. 3
Starting from a GGA-PBE-relaxed structure, the powder XRD pattern of Pa3H was simulated for Cu Kα (λ = 1.5418 Å).

Main lines, by intensity (10° ≤ 2θ ≤ 80°):
2theta, I (rel.)
36.3, 100
42.2, 50
73.3, 41
61.2, 34
20.7, 33
29.5, 28
47.4, 16
52.3, 12
77.1, 12
65.3, 8

Crystal structure
```
data_Pa3H
_chemical_formula_sum 'Pa3 H1'
_cell_length_a 4.285
_cell_length_b 4.285
_cell_length_c 4.285
_cell_angle_alpha 90.00
_cell_angle_beta 90.00
_cell_angle_gamma 90.00
_space_group_name_H-M_alt 'P 1'
_space_group_IT_number 1
loop_
_space_group_symop_operation_xyz
'x,y,z'
loop_
_atom_site_label
_atom_site_type_symbol
_atom_site_fract_x
_atom_site_fract_y
_atom_site_fract_z
_atom_site_occupancy
Pa1 Pa 0.000 0.000 0.500 1
Pa2 Pa 0.000 0.500 0.000 1
Pa3 Pa 0.500 0.000 0.000 1
H1 H 0.500 0.500 0.500 1
```

No. 4
Starting from a GGA-PBE-relaxed structure, the powder XRD pattern of Ca2B11O22 was simulated for Cu Kα (λ = 1.5418 Å).

Main lines, by intensity (10° ≤ 2θ ≤ 80°):
2theta, I (rel.)
26.9, 100
35.6, 72
26.5, 53
45.1, 33
31.7, 33
31.1, 28
42.0, 25
45.7, 24
45.3, 21
42.7, 20

Crystal structure
```
data_Ca2B11O22
_chemical_formula_sum 'Ca2 B11 O22'
_cell_length_a 6.592
_cell_length_b 6.622
_cell_length_c 10.360
_cell_angle_alpha 88.89
_cell_angle_beta 78.23
_cell_angle_gamma 60.89
_space_group_name_H-M_alt 'P 1'
_space_group_IT_number 1
loop_
_space_group_symop_operation_xyz
'x,y,z'
loop_
_atom_site_label
_atom_site_type_symbol
_atom_site_fract_x
_atom_site_fract_y
_atom_site_fract_z
_atom_site_occupancy
Ca1 Ca 0.000 0.000 0.000 1
Ca2 Ca 0.106 0.457 0.770 1
B1 B 0.056 0.032 0.495 1
B2 B 0.066 0.516 0.070 1
B3 B 0.223 0.957 0.695 1
B4 B 0.353 0.386 0.415 1
B5 B 0.402 0.117 0.012 1
B6 B 0.483 0.430 0.045 1
B7 B 0.512 0.574 0.753 1
B8 B 0.617 0.877 0.728 1
B9 B 0.642 0.707 0.063 1
B10 B 0.753 0.647 0.274 1
B11 B 0.788 0.148 0.713 1
O1 O 0.098 0.054 0.359 1
O2 O 0.123 0.497 0.498 1
O3 O 0.177 0.279 0.995 1
O4 O 0.246 0.915 0.553 1
O5 O 0.247 0.591 0.055 1
O6 O 0.276 0.740 0.764 1
O7 O 0.365 0.387 0.548 1
O8 O 0.392 0.033 0.716 1
O9 O 0.455 0.892 0.005 1
O10 O 0.468 0.332 0.292 1
O11 O 0.559 0.354 0.771 1
O12 O 0.560 0.190 0.030 1
O13 O 0.578 0.768 0.207 1
O14 O 0.661 0.480 0.033 1
O15 O 0.688 0.639 0.731 1
O16 O 0.712 0.677 0.410 1
O17 O 0.784 0.931 0.745 1
O18 O 0.827 0.146 0.567 1
O19 O 0.844 0.104 0.248 1
O20 O 0.881 0.683 0.006 1
O21 O 0.983 0.496 0.209 1
O22 O 0.986 0.143 0.763 1
```

No. 5
Starting from a GGA-PBE-relaxed structure, the powder XRD pattern of Ca5Si6O18 was simulated for Cu Kα (λ = 1.5418 Å).

Main lines, by intensity (10° ≤ 2θ ≤ 80°):
2theta, I (rel.)
29.2, 100
29.5, 47
49.3, 30
25.4, 28
33.4, 27
28.4, 26
55.0, 23
31.9, 23
38.1, 21
23.9, 18

Crystal structure
```
data_Ca5Si6O18
_chemical_formula_sum 'Ca5 Si6 O18'
_cell_length_a 6.720
_cell_length_b 6.722
_cell_length_c 9.619
_cell_angle_alpha 92.97
_cell_angle_beta 98.50
_cell_angle_gamma 113.30
_space_group_name_H-M_alt 'P 1'
_space_group_IT_number 1
loop_
_space_group_symop_operation_xyz
'x,y,z'
loop_
_atom_site_label
_atom_site_type_symbol
_atom_site_fract_x
_atom_site_fract_y
_atom_site_fract_z
_atom_site_occupancy
Ca1 Ca 0.000 0.000 0.000 1
Ca2 Ca 0.008 0.278 0.384 1
Ca3 Ca 0.432 0.959 0.776 1
Ca4 Ca 0.494 0.509 0.995 1
Ca5 Ca 0.926 0.468 0.769 1
Si1 Si 0.263 0.893 0.321 1
Si2 Si 0.361 0.404 0.664 1
Si3 Si 0.567 0.062 0.109 1
Si4 Si 0.663 0.575 0.450 1
Si5 Si 0.931 0.979 0.669 1
Si6 Si 0.993 0.489 0.100 1
O1 O 0.049 0.853 0.765 1
O2 O 0.110 0.022 0.274 1
O3 O 0.116 0.193 0.608 1
O4 O 0.124 0.391 0.009 1
O5 O 0.143 0.628 0.254 1
O6 O 0.311 0.583 0.754 1
O7 O 0.316 0.908 0.494 1
O8 O 0.392 0.131 0.013 1
O9 O 0.421 0.472 0.506 1
O10 O 0.499 0.991 0.263 1
O11 O 0.538 0.338 0.759 1
O12 O 0.609 0.557 0.276 1
O13 O 0.616 0.884 0.016 1
O14 O 0.778 0.833 0.519 1
O15 O 0.803 0.078 0.762 1
O16 O 0.811 0.276 0.162 1
O17 O 0.817 0.447 0.496 1
O18 O 0.878 0.617 0.004 1
```